Starting from a crystal structure in the Materials Project, relaxed with GGA-PBE, the PXRD pattern of NaBi2O4 was calculated for Cu Kα, 1.54184 Å.
No peak broadening, texture or thermal motion is included.

Largest 12 diffraction maxima, low angle first, 2θ from 10° to 90°:
d/Å	intensity
5.317	500
5.243	471
3.084	393
3.041	745
2.907	1000
2.894	441
2.111	392
2.092	272
1.744	212
1.731	276
1.724	164
1.507	199

```
data_NaBi2O4
_space_group_name_H-M_alt 'P 1'
_space_group_IT_number 1
_space_group_name_Hall 'P 1'
_cell_length_a 10.486
_cell_length_b 3.471
_cell_length_c 12.336
_cell_angle_alpha 90.00
_cell_angle_beta 90.00
_cell_angle_gamma 90.00
loop_
_atom_site_label
_atom_site_fract_x
_atom_site_fract_y
_atom_site_fract_z
Na1 0.242 0.250 0.147
Na2 0.258 0.750 0.647
Na3 0.742 0.250 0.353
Na4 0.758 0.750 0.853
Bi1 0.066 0.250 0.384
Bi2 0.084 0.250 0.894
Bi3 0.416 0.750 0.394
Bi4 0.434 0.750 0.884
Bi5 0.566 0.250 0.116
Bi6 0.584 0.250 0.606
Bi7 0.916 0.750 0.106
Bi8 0.934 0.750 0.616
O1 0.016 0.750 0.788
O2 0.080 0.250 0.577
O3 0.115 0.750 0.021
O4 0.214 0.750 0.331
O5 0.286 0.250 0.831
O6 0.385 0.250 0.521
O7 0.420 0.750 0.077
O8 0.484 0.250 0.288
O9 0.516 0.750 0.712
O10 0.580 0.250 0.923
O11 0.615 0.750 0.479
O12 0.714 0.750 0.169
O13 0.786 0.250 0.669
O14 0.885 0.250 0.979
O15 0.920 0.750 0.423
O16 0.984 0.250 0.212
```

Starting from a crystal structure in the Materials Project, relaxed with GGA-PBE, the PXRD pattern of AgN was calculated for Cu Kα, 1.54184 Å.
No peak broadening, texture or thermal motion is included.

Largest 12 diffraction maxima, low angle first, 2θ from 10° to 90°:
d/Å	intensity
3.820	1000
2.888	308
2.706	155
2.696	155
2.304	507
1.973	248
1.910	171
1.711	96
1.706	96
1.593	182
1.472	114
1.469	114

```
data_AgN
_space_group_name_H-M_alt 'P 1'
_space_group_IT_number 1
_space_group_name_Hall 'P 1'
_cell_length_a 5.777
_cell_length_b 5.411
_cell_length_c 5.393
_cell_angle_alpha 90.00
_cell_angle_beta 90.00
_cell_angle_gamma 90.00
loop_
_atom_site_label
_atom_site_fract_x
_atom_site_fract_y
_atom_site_fract_z
Ag1 0.250 0.006 0.000
Ag2 0.250 0.506 0.500
Ag3 0.750 0.494 0.500
Ag4 0.750 0.994 0.000
N1 0.250 0.256 0.755
N2 0.250 0.756 0.255
N3 0.750 0.244 0.255
N4 0.750 0.744 0.755
```

Starting from a crystal structure in the Materials Project, relaxed with GGA-PBE, the PXRD pattern of BaGeO4 was calculated for Cu Kα, 1.54184 Å.
No peak broadening, texture or thermal motion is included.

Largest 12 diffraction maxima, low angle first, 2θ from 10° to 90°:
d/Å	intensity
3.795	938
3.662	1000
3.393	287
3.346	296
3.297	788
3.263	559
3.012	293
2.658	295
2.613	270
2.467	686
2.436	280
2.000	253

```
data_BaGeO4
_space_group_name_H-M_alt 'P 1'
_space_group_IT_number 1
_space_group_name_Hall 'P 1'
_cell_length_a 7.276
_cell_length_b 7.326
_cell_length_c 7.592
_cell_angle_alpha 90.97
_cell_angle_beta 90.75
_cell_angle_gamma 91.23
loop_
_atom_site_label
_atom_site_fract_x
_atom_site_fract_y
_atom_site_fract_z
Ba1 0.080 0.206 0.203
Ba2 0.381 0.275 0.703
Ba3 0.619 0.725 0.297
Ba4 0.920 0.794 0.797
Ge1 0.121 0.724 0.300
Ge2 0.418 0.763 0.796
Ge3 0.582 0.237 0.204
Ge4 0.879 0.276 0.700
O1 0.015 0.170 0.859
O2 0.037 0.358 0.541
O3 0.252 0.549 0.191
O4 0.257 0.595 0.877
O5 0.273 0.915 0.682
O6 0.281 0.897 0.381
O7 0.434 0.137 0.039
O8 0.437 0.351 0.356
O9 0.563 0.649 0.644
O10 0.566 0.863 0.961
O11 0.719 0.103 0.619
O12 0.727 0.085 0.318
O13 0.743 0.405 0.123
O14 0.748 0.451 0.809
O15 0.963 0.642 0.459
O16 0.985 0.830 0.141
```

Repeat the third record exactly.
Starting from a crystal structure in the Materials Project, relaxed with GGA-PBE, the PXRD pattern of BaGeO4 was calculated for Cu Kα, 1.54184 Å.
No peak broadening, texture or thermal motion is included.

Largest 12 diffraction maxima, low angle first, 2θ from 10° to 90°:
d/Å	intensity
3.795	938
3.662	1000
3.393	287
3.346	296
3.297	788
3.263	559
3.012	293
2.658	295
2.613	270
2.467	686
2.436	280
2.000	253

```
data_BaGeO4
_space_group_name_H-M_alt 'P 1'
_space_group_IT_number 1
_space_group_name_Hall 'P 1'
_cell_length_a 7.276
_cell_length_b 7.326
_cell_length_c 7.592
_cell_angle_alpha 90.97
_cell_angle_beta 90.75
_cell_angle_gamma 91.23
loop_
_atom_site_label
_atom_site_fract_x
_atom_site_fract_y
_atom_site_fract_z
Ba1 0.080 0.206 0.203
Ba2 0.381 0.275 0.703
Ba3 0.619 0.725 0.297
Ba4 0.920 0.794 0.797
Ge1 0.121 0.724 0.300
Ge2 0.418 0.763 0.796
Ge3 0.582 0.237 0.204
Ge4 0.879 0.276 0.700
O1 0.015 0.170 0.859
O2 0.037 0.358 0.541
O3 0.252 0.549 0.191
O4 0.257 0.595 0.877
O5 0.273 0.915 0.682
O6 0.281 0.897 0.381
O7 0.434 0.137 0.039
O8 0.437 0.351 0.356
O9 0.563 0.649 0.644
O10 0.566 0.863 0.961
O11 0.719 0.103 0.619
O12 0.727 0.085 0.318
O13 0.743 0.405 0.123
O14 0.748 0.451 0.809
O15 0.963 0.642 0.459
O16 0.985 0.830 0.141
```